[1]
Diffraction record for Al3Cr2Fe3. The powder X-ray diffraction pattern is theoretical, not measured: it uses DFT lattice parameters and positions (PBE) and Cu Kα.

Top 6 peaks for 10° ≤ 2θ ≤ 80°, in order of rising 2θ:
hkl	Position (°2θ)	d (Å)	Rel. int.
0 1 3	27.55	3.238	15
0 0 8	44.19	2.050	25
1 1 4	44.82	2.022	100
0 2 0	45.12	2.010	25
0 2 8	64.99	1.435	14
2 0 0	65.50	1.425	7

Atomic structure:
```
data_Al3Cr2Fe3
_space_group_name_H-M_alt 'I m m m'
_space_group_IT_number 71
_space_group_name_Hall '-I 2 2'
_cell_length_a 2.850
_cell_length_b 4.019
_cell_length_c 16.396
_cell_angle_alpha 90.00
_cell_angle_beta 90.00
_cell_angle_gamma 90.00
loop_
_atom_site_label
_atom_site_type_symbol
_atom_site_fract_x
_atom_site_fract_y
_atom_site_fract_z
Al1 Al 0.000 0.000 0.000
Al2 Al 0.000 0.500 0.123
Cr1 Cr 0.000 0.000 0.243
Fe1 Fe 0.000 0.000 0.500
Fe2 Fe 0.000 0.500 0.371
```



[2]
Diffraction record for Y8Te3P3S. The powder X-ray diffraction pattern is theoretical, not measured: it uses DFT lattice parameters and positions (PBE) and Cu Kα.

Top 6 peaks for 10° ≤ 2θ ≤ 80°, in order of rising 2θ:
hkl	Position (°2θ)	d (Å)	Rel. int.
0 2 4	30.56	2.925	100
2 0 5	33.20	2.699	16
2 0 8	43.00	2.104	32
2 2 0	44.52	2.035	36
4 0 4	54.96	1.671	18
2 4 4	73.32	1.291	15

Atomic structure:
```
data_Y8Te3P3S
_space_group_name_H-M_alt 'R -3 m'
_space_group_IT_number 166
_space_group_name_Hall '-R 3 2"'
_cell_length_a 8.1402
_cell_length_b 8.1402
_cell_length_c 20.9737
_cell_angle_alpha 90.00
_cell_angle_beta 90.00
_cell_angle_gamma 120.00
loop_
_atom_site_label
_atom_site_type_symbol
_atom_site_fract_x
_atom_site_fract_y
_atom_site_fract_z
Y1 Y 0.0000 0.0000 0.2358
Y2 Y 0.0055 0.5027 0.7620
Te1 Te 0.0000 0.5000 0.0000
P1 P 0.0000 0.5000 0.5000
S1 S 0.0000 0.0000 0.5000
```



[3]
Diffraction record for KSe2Br. The powder X-ray diffraction pattern is theoretical, not measured: it uses DFT lattice parameters and positions (PBE) and Cu Kα.

Top 6 peaks for 10° ≤ 2θ ≤ 80°, in order of rising 2θ:
hkl	Position (°2θ)	d (Å)	Rel. int.
1 0 -1	20.13	4.411	72
0 0 2	23.51	3.783	100
1 1 0	28.74	3.106	39
1 1 -1	29.66	3.012	41
1 1 1	32.53	2.752	60
0 2 2	50.40	1.811	24

Atomic structure:
```
data_KSe2Br
_space_group_name_H-M_alt 'P 1 m 1'
_space_group_IT_number 6
_cell_length_a 4.815
_cell_length_b 4.124
_cell_length_c 7.715
_cell_angle_alpha 90.00
_cell_angle_beta 101.23
_cell_angle_gamma 90.00
loop_
_space_group_symop_operation_xyz
'x,y,z'
'x,-y,z'
loop_
_atom_site_label
_atom_site_type_symbol
_atom_site_fract_x
_atom_site_fract_y
_atom_site_fract_z
K1 K 0.000 0.000 0.000
Se1 Se 0.097 0.500 0.556
Se2 Se 0.845 0.000 0.471
Br1 Br 0.514 0.500 0.045
```



[4]
Diffraction record for Li2Mg4CdHg. The powder X-ray diffraction pattern is theoretical, not measured: it uses DFT lattice parameters and positions (PBE) and Cu Kα.

Top 6 peaks for 10° ≤ 2θ ≤ 80°, in order of rising 2θ:
hkl	Position (°2θ)	d (Å)	Rel. int.
0 0 2	17.37	5.107	42
1 0 0	20.57	4.318	90
1 0 2	27.04	3.297	100
1 1 2	34.22	2.620	83
1 0 4	41.07	2.198	35
2 1 2	50.53	1.806	36

Atomic structure:
```
data_Li2Mg4CdHg
_space_group_name_H-M_alt 'P 4/m m m'
_space_group_IT_number 123
_space_group_name_Hall '-P 4 2'
_cell_length_a 4.318
_cell_length_b 4.318
_cell_length_c 10.214
_cell_angle_alpha 90.00
_cell_angle_beta 90.00
_cell_angle_gamma 90.00
loop_
_atom_site_label
_atom_site_type_symbol
_atom_site_fract_x
_atom_site_fract_y
_atom_site_fract_z
Li1 Li 0.000 0.000 0.119
Mg1 Mg 0.000 0.500 0.315
Cd1 Cd 0.500 0.500 0.000
Hg1 Hg 0.500 0.500 0.500
```



[5]
Diffraction record for CaGaBiB2O7. The powder X-ray diffraction pattern is theoretical, not measured: it uses DFT lattice parameters and positions (PBE) and Cu Kα.

Top 6 peaks for 10° ≤ 2θ ≤ 80°, in order of rising 2θ:
hkl	Position (°2θ)	d (Å)	Rel. int.
1 1 0	11.83	7.484	35
2 0 0	16.75	5.292	41
2 0 1	24.93	3.572	69
2 2 1	30.19	2.961	57
1 3 1	32.52	2.753	100
1 3 2	46.29	1.961	41

Atomic structure:
```
data_CaGaBiB2O7
_space_group_name_H-M_alt 'C m m 2'
_space_group_IT_number 35
_cell_length_a 10.581
_cell_length_b 10.586
_cell_length_c 4.841
_cell_angle_alpha 90.00
_cell_angle_beta 90.00
_cell_angle_gamma 90.00
loop_
_space_group_symop_operation_xyz
'x,y,z'
'-x,-y,z'
'-x,y,z'
'x,-y,z'
'x+1/2,y+1/2,z'
'-x+1/2,-y+1/2,z'
'-x+1/2,y+1/2,z'
'x+1/2,-y+1/2,z'
loop_
_atom_site_label
_atom_site_type_symbol
_atom_site_fract_x
_atom_site_fract_y
_atom_site_fract_z
Ca1 Ca 0.163 0.000 0.000
Ga1 Ga 0.250 0.250 0.495
Bi1 Bi 0.000 0.333 0.991
B1 B 0.000 0.131 0.551
B2 B 0.134 0.500 0.439
O1 O 0.000 0.000 0.654
O2 O 0.000 0.144 0.257
O3 O 0.000 0.500 0.339
O4 O 0.114 0.192 0.702
O5 O 0.147 0.500 0.731
O6 O 0.193 0.386 0.288
```



[6]
Diffraction record for V2IrOsRh5. The powder X-ray diffraction pattern is theoretical, not measured: it uses DFT lattice parameters and positions (PBE) and Cu Kα.

Top 6 peaks for 10° ≤ 2θ ≤ 80°, in order of rising 2θ:
hkl	Position (°2θ)	d (Å)	Rel. int.
0 0 2	16.24	5.459	14
2 2 0	36.36	2.471	68
2 2 2	40.06	2.251	14
2 0 4	42.00	2.151	100
4 0 0	52.37	1.747	16
4 2 4	69.28	1.356	30

Atomic structure:
```
data_V2IrOsRh5
_space_group_name_H-M_alt 'I 4/m c m'
_space_group_IT_number 140
_space_group_name_Hall '-I 4 2c'
_cell_length_a 6.989
_cell_length_b 6.989
_cell_length_c 10.919
_cell_angle_alpha 90.00
_cell_angle_beta 90.00
_cell_angle_gamma 90.00
loop_
_atom_site_label
_atom_site_type_symbol
_atom_site_fract_x
_atom_site_fract_y
_atom_site_fract_z
V1 V 0.108 0.392 0.000
Ir1 Ir 0.000 0.500 0.250
Os1 Os 0.000 0.000 0.250
Rh1 Rh 0.000 0.000 0.000
Rh2 Rh 0.218 0.282 0.367
```



[7]
Diffraction record for P4S9. The powder X-ray diffraction pattern is theoretical, not measured: it uses DFT lattice parameters and positions (PBE) and Cu Kα.

Top 6 peaks for 10° ≤ 2θ ≤ 80°, in order of rising 2θ:
hkl	Position (°2θ)	d (Å)	Rel. int.
1 1 0	12.15	7.283	100
1 2 -1	16.09	5.508	27
0 2 2	18.89	4.697	27
2 2 0	24.44	3.642	33
2 3 -1	27.09	3.292	26
0 3 3	28.51	3.131	36

Atomic structure:
```
data_P4S9
_space_group_name_H-M_alt 'P 1 21/c 1'
_space_group_IT_number 14
_cell_length_a 9.572
_cell_length_b 13.687
_cell_length_c 14.373
_cell_angle_alpha 90.00
_cell_angle_beta 116.03
_cell_angle_gamma 90.00
loop_
_space_group_symop_operation_xyz
'x,y,z'
'-x,-y,-z'
'-x,y+1/2,-z+1/2'
'x,-y+1/2,z+1/2'
loop_
_atom_site_label
_atom_site_type_symbol
_atom_site_fract_x
_atom_site_fract_y
_atom_site_fract_z
P1 P 0.028 0.239 0.489
P2 P 0.214 0.097 0.896
P3 P 0.321 0.112 0.160
P4 P 0.412 0.196 0.535
S1 S 0.001 0.665 0.634
S2 S 0.106 0.180 0.128
S3 S 0.170 0.680 0.040
S4 S 0.183 0.009 0.785
S5 S 0.194 0.132 0.503
S6 S 0.291 0.017 0.036
S7 S 0.379 0.205 0.912
S8 S 0.387 0.037 0.285
S9 S 0.486 0.220 0.173
```



[8]
Diffraction record for ReSe2Cl12. The powder X-ray diffraction pattern is theoretical, not measured: it uses DFT lattice parameters and positions (PBE) and Cu Kα.

Top 6 peaks for 10° ≤ 2θ ≤ 80°, in order of rising 2θ:
hkl	Position (°2θ)	d (Å)	Rel. int.
1 1 1	10.49	8.431	80
1 1 3	15.49	5.720	38
2 0 2	16.22	5.463	100
2 2 4	25.35	3.513	50
2 2 6	31.28	2.860	39
4 2 6	40.13	2.247	41

Atomic structure:
```
data_ReSe2Cl12
_space_group_name_H-M_alt 'F d d 2'
_space_group_IT_number 43
_space_group_name_Hall 'F 2 -2d'
_cell_length_a 12.586
_cell_length_b 13.255
_cell_length_c 22.019
_cell_angle_alpha 90.00
_cell_angle_beta 90.00
_cell_angle_gamma 90.00
loop_
_atom_site_label
_atom_site_type_symbol
_atom_site_fract_x
_atom_site_fract_y
_atom_site_fract_z
Re1 Re 0.000 0.000 0.000
Se1 Se 0.000 0.235 0.416
Cl1 Cl 0.102 0.318 0.990
Cl2 Cl 0.103 0.320 0.841
Cl3 Cl 0.104 0.077 0.922
Cl4 Cl 0.108 0.078 0.074
Cl5 Cl 0.112 0.356 0.498
Cl6 Cl 0.116 0.109 0.422
```



[9]
Diffraction record for V4SiRh. The powder X-ray diffraction pattern is theoretical, not measured: it uses DFT lattice parameters and positions (PBE) and Cu Kα.

Top 6 peaks for 10° ≤ 2θ ≤ 80°, in order of rising 2θ:
hkl	Position (°2θ)	d (Å)	Rel. int.
0 2 2	33.00	2.714	33
1 2 1	35.64	2.519	23
2 0 0	38.00	2.368	52
1 2 3	42.22	2.140	100
1 0 5	43.83	2.066	65
2 2 2	51.20	1.784	37

Atomic structure:
```
data_V4SiRh
_space_group_name_H-M_alt 'I m m m'
_space_group_IT_number 71
_space_group_name_Hall '-I 2 2'
_cell_length_a 4.736
_cell_length_b 6.161
_cell_length_c 11.477
_cell_angle_alpha 90.00
_cell_angle_beta 90.00
_cell_angle_gamma 90.00
loop_
_atom_site_label
_atom_site_type_symbol
_atom_site_fract_x
_atom_site_fract_y
_atom_site_fract_z
V1 V 0.000 0.000 0.187
V2 V 0.000 0.223 0.376
V3 V 0.000 0.320 0.000
Si1 Si 0.240 0.500 0.500
Rh1 Rh 0.000 0.500 0.204
```



[10]
Diffraction record for Pu4As2C. The powder X-ray diffraction pattern is theoretical, not measured: it uses DFT lattice parameters and positions (PBE) and Cu Kα.

Top 6 peaks for 10° ≤ 2θ ≤ 80°, in order of rising 2θ:
hkl	Position (°2θ)	d (Å)	Rel. int.
1 0 3	25.94	3.434	27
1 1 2	29.72	3.006	100
0 0 6	34.94	2.568	46
1 1 4	36.06	2.491	75
2 0 0	39.02	2.308	56
2 0 6	53.36	1.717	48

Atomic structure:
```
data_Pu4As2C
_space_group_name_H-M_alt 'I 4/m m m'
_space_group_IT_number 139
_space_group_name_Hall '-I 4 2'
_cell_length_a 4.616
_cell_length_b 4.616
_cell_length_c 15.419
_cell_angle_alpha 90.00
_cell_angle_beta 90.00
_cell_angle_gamma 90.00
loop_
_atom_site_label
_atom_site_type_symbol
_atom_site_fract_x
_atom_site_fract_y
_atom_site_fract_z
Pu1 Pu 0.000 0.000 0.170
Pu2 Pu 0.000 0.500 0.000
As1 As 0.000 0.000 0.363
C1 C 0.000 0.000 0.000
```



[11]
Diffraction record for Ho3Os. The powder X-ray diffraction pattern is theoretical, not measured: it uses DFT lattice parameters and positions (PBE) and Cu Kα.

Top 6 peaks for 10° ≤ 2θ ≤ 80°, in order of rising 2θ:
hkl	Position (°2θ)	d (Å)	Rel. int.
1 1 2	31.40	2.849	100
4 2 0	34.57	2.595	59
1 4 1	35.13	2.554	51
3 3 1	36.00	2.495	30
3 0 2	37.65	2.389	30
3 1 2	38.43	2.343	67

Atomic structure:
```
data_Ho3Os
_space_group_name_H-M_alt 'P 42/n'
_space_group_IT_number 86
_cell_length_a 11.603
_cell_length_b 11.603
_cell_length_c 6.087
_cell_angle_alpha 90.00
_cell_angle_beta 90.00
_cell_angle_gamma 90.00
loop_
_space_group_symop_operation_xyz
'x,y,z'
'-x,-y,-z'
'-y,x+1/2,z+1/2'
'y,-x+1/2,-z+1/2'
'-x+1/2,-y+1/2,z'
'x+1/2,y+1/2,-z'
'y+1/2,-x,z+1/2'
'-y+1/2,x,-z+1/2'
loop_
_atom_site_label
_atom_site_type_symbol
_atom_site_fract_x
_atom_site_fract_y
_atom_site_fract_z
Ho1 Ho 0.032 0.914 0.211
Ho2 Ho 0.118 0.299 0.018
Ho3 Ho 0.123 0.835 0.702
Os1 Os 0.043 0.307 0.534
```